This entry pairs a crystal structure of La2Y12Sc with its simulated X-ray powder pattern. Radiation: Cu Ka. Structure: a crystal structure in Alexandria, relaxed with PBE.
Intensities are scaled so that the largest is 1000.

Main lines, most intense first (10 to 90 degrees two-theta):
2.930 Å, rel. 1000
2.851 Å, rel. 708
2.723 Å, rel. 609
2.712 Å, rel. 430
3.009 Å, rel. 345
2.436 Å, rel. 313

a = 6.7186 Å, b = 6.7186 Å, c = 24.7946 Å
α = 90.00°, β = 90.00°, γ = 116.14°
Element x y z (fractional)
La  0.2500  0.7500  0.2343
La  0.2500  0.7500  0.7660
La  0.7500  0.2500  0.2340
La  0.7500  0.2500  0.7657
Y  0.0000  0.0000  0.4275
Y  0.0000  0.0000  0.5725
Y  0.0000  0.5000  0.3796
Y  0.0000  0.5000  0.6204
Y  0.0006  0.5006  0.0848
Y  0.0007  0.9993  0.9381
Y  0.2500  0.2500  0.1738
Y  0.2500  0.2500  0.3052
Y  0.2500  0.2500  0.6948
Y  0.2500  0.2500  0.8262
Y  0.4993  0.5007  0.9381
Y  0.4994  0.9994  0.0848
Y  0.5000  0.0000  0.3796
Y  0.5000  0.0000  0.6204
Y  0.5000  0.5000  0.4275
Y  0.5000  0.5000  0.5725
Y  0.5006  0.0006  0.9152
Y  0.5007  0.4993  0.0619
Y  0.7500  0.7500  0.1738
Y  0.7500  0.7500  0.3052
Y  0.7500  0.7500  0.6948
Y  0.7500  0.7500  0.8262
Y  0.9993  0.0007  0.0619
Y  0.9994  0.4994  0.9152
Sc  0.2500  0.7500  0.5000
Sc  0.7500  0.2500  0.5000

=====

This entry pairs a crystal structure of YMg6Ga with its simulated X-ray powder pattern. Radiation: Cu Ka. Structure: a crystal structure in Alexandria, relaxed with PBE.
Intensities are scaled so that the largest is 1000.

Main lines, most intense first (10 to 90 degrees two-theta):
2.439 Å, rel. 1000
2.524 Å, rel. 772
5.596 Å, rel. 642
2.798 Å, rel. 418
2.486 Å, rel. 417
2.767 Å, rel. 297

a = 4.9729 Å, b = 6.3700 Å, c = 11.7171 Å
α = 90.00°, β = 90.00°, γ = 90.00°
Element x y z (fractional)
Y  0.0000  0.0000  0.0000
Y  0.0000  0.5000  0.5000
Mg  0.0000  0.0000  0.5247
Mg  0.0000  0.2471  0.2613
Mg  0.0000  0.2529  0.7613
Mg  0.0000  0.5000  0.0247
Mg  0.0000  0.7471  0.7613
Mg  0.0000  0.7529  0.2613
Mg  0.5000  0.0000  0.3686
Mg  0.5000  0.2489  0.6145
Mg  0.5000  0.2511  0.1145
Mg  0.5000  0.5000  0.8686
Mg  0.5000  0.7489  0.1145
Mg  0.5000  0.7511  0.6145
Ga  0.5000  0.0000  0.8532
Ga  0.5000  0.5000  0.3532

=====

This entry pairs a crystal structure of Pr8Sb5P with its simulated X-ray powder pattern. Radiation: Cu Ka. Structure: a crystal structure in Alexandria, relaxed with PBE.
Intensities are scaled so that the largest is 1000.

Main lines, most intense first (10 to 90 degrees two-theta):
2.987 Å, rel. 1000
3.026 Å, rel. 463
2.548 Å, rel. 449
2.526 Å, rel. 256
2.534 Å, rel. 235
1.533 Å, rel. 177

a = 8.2176 Å, b = 8.2176 Å, c = 8.2176 Å
α = 109.88°, β = 109.88°, γ = 108.66°
Element x y z (fractional)
Pr  0.0205  0.1284  0.7528
Pr  0.2496  0.4802  0.6295
Pr  0.3756  0.2677  0.2472
Pr  0.3799  0.7504  0.2306
Pr  0.5198  0.1493  0.7694
Pr  0.7323  0.9795  0.1079
Pr  0.8507  0.6201  0.3705
Pr  0.8716  0.6244  0.8921
Sb  0.0042  0.3772  0.1344
Sb  0.1303  0.9958  0.3730
Sb  0.2427  0.8697  0.8656
Sb  0.6228  0.7573  0.6270
Sb  0.7500  0.2500  0.5000
P  0.5000  0.5000  0.0000